Record 1
Structure and computed powder diffractogram of Th3Sb2As2 (a DFT-relaxed cell (PBE, the Materials Project); a wavelength of 1.5418 Å).
Kinematic intensities with the Lorentz-polarization factor, no thermal factor.

Structure:
Cell: 9.180 9.180 9.180 Å, 90.00 90.00 90.00°
Space group I2_13 (No. 199)
Symmetry-distinct sites (fractional):
Th 0.000 0.250 0.860 (multiplicity 12)
Sb 0.165 0.165 0.165 (multiplicity 8)
As 0.076 0.424 0.576 (multiplicity 8)

Top 10 peaks for 15° ≤ 2θ ≤ 90°, in order of rising 2θ:
Position (°2θ), I_rel
23.74, 43.2
30.80, 100.0
36.63, 73.4
44.12, 28.8
46.40, 18.8
50.71, 20.6
62.36, 34.6
64.17, 10.6
65.95, 17.2
76.22, 19.3

Record 2
Structure and computed powder diffractogram of RbPO3 (a DFT-relaxed cell (PBE, the Materials Project); a wavelength of 1.5418 Å).
Kinematic intensities with the Lorentz-polarization factor, no thermal factor.

Structure:
Cell: 12.288 4.621 14.571 Å, 90.00 115.46 90.00°
Space group P2_1/c (No. 14)
Symmetry-distinct sites (fractional):
Rb 0.068 0.214 0.379 (multiplicity 4)
Rb 0.412 0.732 0.082 (multiplicity 4)
P 0.213 0.182 0.164 (multiplicity 4)
P 0.296 0.680 0.310 (multiplicity 4)
O 0.083 0.213 0.141 (multiplicity 4)
O 0.200 0.704 0.346 (multiplicity 4)
O 0.256 0.248 0.585 (multiplicity 4)
O 0.258 0.647 0.702 (multiplicity 4)
O 0.300 0.147 0.769 (multiplicity 4)
O 0.424 0.745 0.880 (multiplicity 4)

Top 10 peaks for 15° ≤ 2θ ≤ 90°, in order of rising 2θ:
Position (°2θ), I_rel
24.84, 24.1
25.05, 100.0
27.11, 17.6
29.07, 18.3
31.59, 9.1
33.44, 9.1
37.63, 16.5
37.83, 12.1
38.98, 15.5
42.29, 8.7

Record 3
Structure and computed powder diffractogram of TmBr3 (a DFT-relaxed cell (PBE, the Materials Project); a wavelength of 1.5418 Å).
Kinematic intensities with the Lorentz-polarization factor, no thermal factor.

Structure:
Cell: 10.3674 10.3674 3.6926 Å, 90.00 90.00 120.00°
Space group P6_3/mmc (No. 194)
Symmetry-distinct sites (fractional):
Tm 0.3333 0.6667 0.2500 (multiplicity 2)
Br 0.2163 0.4326 0.7500 (multiplicity 6)

Top 10 peaks for 15° ≤ 2θ ≤ 90°, in order of rising 2θ:
Position (°2θ), I_rel
17.11, 66.6
19.78, 67.8
31.37, 100.0
35.94, 51.3
36.07, 26.0
38.73, 32.9
43.85, 54.1
52.99, 25.4
62.89, 27.4
79.03, 21.0

Record 4
Structure and computed powder diffractogram of SrMg14Nb (a DFT-relaxed cell (PBE, the Materials Project); a wavelength of 1.5418 Å).
Kinematic intensities with the Lorentz-polarization factor, no thermal factor.

Structure:
Cell: 10.352 6.543 11.295 Å, 90.00 90.00 90.00°
Space group Amm2 (No. 38)
Symmetry-distinct sites (fractional):
Sr 0.000 0.000 0.000 (multiplicity 2)
Mg 0.000 0.247 0.251 (multiplicity 4)
Mg 0.241 0.000 0.661 (multiplicity 4)
Mg 0.255 0.235 0.415 (multiplicity 8)
Mg 0.262 0.000 0.171 (multiplicity 4)
Mg 0.500 0.000 0.500 (multiplicity 2)
Mg 0.500 0.000 0.998 (multiplicity 2)
Mg 0.500 0.247 0.749 (multiplicity 4)
Nb 0.000 0.000 0.491 (multiplicity 2)

Top 10 peaks for 15° ≤ 2θ ≤ 90°, in order of rising 2θ:
Position (°2θ), I_rel
15.69, 10.8
17.89, 15.2
31.64, 28.1
32.82, 10.4
34.66, 24.5
36.19, 100.0
47.63, 17.3
56.39, 11.4
63.10, 13.3
67.91, 12.4

> What is the formula in the fourth record?

SrMg14Nb